# LiMnCrO4
Computed X-ray diffraction stick pattern, λ = 1.5418 Å (Cu Kα). Input: a crystal structure in the Materials Project, relaxed with GGA+U.

Largest 8 diffraction maxima, in order of rising 2θ, 10 to 80 degrees two-theta:
2θ 18.2, intensity 1000; 2θ 18.5, intensity 756; 2θ 35.3, intensity 261; 2θ 35.5, intensity 131; 2θ 35.7, intensity 408; 2θ 43.2, intensity 645; 2θ 43.3, intensity 319; 2θ 62.8, intensity 377

abc: 5.917 5.917 5.917
angles: 120.59 119.23 90.16
Fractional coordinates of all 14 atoms:
Li 0.369 0.119 0.250
Li 0.631 0.881 0.750
Mn 0.000 0.000 0.500
Mn 0.000 0.500 0.000
Cr 0.000 0.500 0.500
Cr 0.500 0.500 0.000
O 0.210 0.743 0.468
O 0.225 0.257 0.968
O 0.231 0.252 0.521
O 0.231 0.710 0.979
O 0.769 0.290 0.021
O 0.769 0.748 0.479
O 0.775 0.743 0.032
O 0.790 0.257 0.532